1.
# KNa2MnCl8
Simulated powder XRD pattern, copper Kα. Input: DFT lattice parameters and positions (GGA-PBE).
Peak positions follow from Bragg's law for the DFT cell and can differ from measured ones.

Principal peaks in the range 10 to 90 degrees two-theta, sorted by position:
2θ = 17.03°, I = 84, hkl 0 1 -1
2θ = 21.27°, I = 100, hkl 1 1 0
2θ = 25.47°, I = 72, hkl 1 0 2
2θ = 28.82°, I = 86, hkl 1 -1 2
2θ = 31.59°, I = 43, hkl 1 -2 0
2θ = 32.52°, I = 49, hkl 1 2 0
2θ = 37.18°, I = 42, hkl 1 1 -3
2θ = 39.85°, I = 57, hkl -2 1 2
2θ = 39.96°, I = 57, hkl 2 -1 2
2θ = 40.59°, I = 64, hkl 0 0 4

Lattice parameters (Å, degrees): 5.664 6.425 8.896 90.00 90.20 91.91
Space group P-1 (No. 2)
Unique sites:
K 0.000 0.000 0.000 (multiplicity 1)
Na 0.498 0.500 0.718 (multiplicity 2)
Mn 0.000 0.000 0.500 (multiplicity 1)
Cl 0.221 0.306 0.499 (multiplicity 2)
Cl 0.228 0.866 0.315 (multiplicity 2)
Cl 0.231 0.869 0.686 (multiplicity 2)
Cl 0.249 0.490 0.000 (multiplicity 2)

2.
# K3Mn2TlCl8
Simulated powder XRD pattern, copper Kα. Input: DFT lattice parameters and positions (GGA-PBE).
Peak positions follow from Bragg's law for the DFT cell and can differ from measured ones.

Principal peaks in the range 10 to 90 degrees two-theta, sorted by position:
2θ = 12.95°, I = 25, hkl 1 0 0
2θ = 16.33°, I = 91, hkl 1 0 1
2θ = 22.53°, I = 100, hkl 1 1 0
2θ = 23.80°, I = 43, hkl 0 1 2
2θ = 27.95°, I = 30, hkl 2 0 1
2θ = 30.22°, I = 49, hkl 1 1 2
2θ = 33.00°, I = 53, hkl 2 0 2
2θ = 36.19°, I = 26, hkl 2 1 1
2θ = 37.86°, I = 27, hkl 1 1 3
2θ = 45.99°, I = 36, hkl 2 2 0

Lattice parameters (Å, degrees): 7.8932 7.8932 8.9306 90.00 90.00 120.00
Space group P-3m1 (No. 164)
Unique sites:
K 0.0000 0.0000 0.0000 (multiplicity 1)
K 0.3333 0.6667 0.5833 (multiplicity 2)
Mn 0.3333 0.6667 0.1704 (multiplicity 2)
Tl 0.0000 0.0000 0.5000 (multiplicity 1)
Cl 0.1776 0.3551 0.2878 (multiplicity 6)
Cl 0.3333 0.6667 0.9155 (multiplicity 2)